Simulated powder XRD pattern
Compound: AcAl3Ag10
Radiation: Cu Kα (λ = 1.5418 Å)
Structure: a cell relaxed with PBE
Peak positions follow from Bragg's law for the DFT cell and can differ from measured ones.

Largest 10 diffraction maxima, low angle first, 15 to 90 degrees two-theta:
two_theta, d/Å, Rel. int.
30.17, 2.963, 76
33.13, 2.704, 39
35.20, 2.550, 100
38.44, 2.342, 35
40.27, 2.239, 47
45.41, 1.997, 31
57.35, 1.607, 25
59.17, 1.561, 40
69.52, 1.352, 21
77.61, 1.230, 13

Structural model:
Cell lengths 13.249, 13.249, 13.249 Å; angles 90.00, 90.00, 90.00 degrees
Space group Fm-3m (No. 225)
Symmetry-distinct sites (fractional):
Ac1 0.250 0.250 0.250
Al1 0.000 0.000 0.240
Ag1 0.000 0.173 0.327
Ag2 0.112 0.112 0.112

Simulated powder XRD pattern
Compound: Ho4PaSb5
Radiation: Cu Kα (λ = 1.5418 Å)
Structure: a cell relaxed with PBE
Peak positions follow from Bragg's law for the DFT cell and can differ from measured ones.

Largest 10 diffraction maxima, low angle first, 15 to 90 degrees two-theta:
two_theta, d/Å, Rel. int.
24.98, 3.565, 6
28.92, 3.087, 100
41.36, 2.183, 76
51.25, 1.782, 27
59.85, 1.545, 4
59.96, 1.543, 9
67.87, 1.381, 23
67.93, 1.380, 12
75.42, 1.260, 26
89.87, 1.091, 9

Structural model:
Cell lengths 9.757, 9.757, 6.181 Å; angles 90.00, 90.00, 90.00 degrees
Space group I4/m (No. 87)
Symmetry-distinct sites (fractional):
Ho1 0.100 0.699 0.000
Pa1 0.000 0.000 0.500
Sb1 0.000 0.000 0.000
Sb2 0.099 0.701 0.500

Simulated powder XRD pattern
Compound: Cs3RbHg6
Radiation: Cu Kα (λ = 1.5418 Å)
Structure: a cell relaxed with PBE
Peak positions follow from Bragg's law for the DFT cell and can differ from measured ones.

Largest 10 diffraction maxima, low angle first, 15 to 90 degrees two-theta:
two_theta, d/Å, Rel. int.
18.51, 4.794, 26
20.25, 4.384, 23
25.23, 3.530, 70
27.57, 3.235, 100
28.88, 3.091, 62
35.50, 2.529, 40
36.76, 2.445, 38
40.29, 2.238, 26
50.54, 1.806, 20
53.39, 1.716, 27

Structural model:
Cell lengths 15.1879, 15.1879, 14.0077 Å; angles 90.00, 90.00, 120.00 degrees
Space group R-3c (No. 167, hexagonal axes)
Symmetry-distinct sites (fractional):
Cs1 0.0000 0.4343 0.2500
Rb1 0.0000 0.0000 0.0000
Hg1 0.0801 0.2196 0.3286

Simulated powder XRD pattern
Compound: Zn4Cu7Pd
Radiation: Cu Kα (λ = 1.5418 Å)
Structure: a cell relaxed with PBE
Peak positions follow from Bragg's law for the DFT cell and can differ from measured ones.

Largest 10 diffraction maxima, low angle first, 15 to 90 degrees two-theta:
two_theta, d/Å, Rel. int.
41.76, 2.163, 100
42.05, 2.149, 98
47.89, 1.900, 33
48.43, 1.880, 32
49.99, 1.824, 29
70.06, 1.343, 10
70.90, 1.329, 9
84.80, 1.143, 11
85.61, 1.135, 11
88.18, 1.108, 10

Structural model:
Cell lengths 4.631, 5.244, 6.905 Å; angles 68.85, 88.34, 88.72 degrees
Space group P-1 (No. 2)
Symmetry-distinct sites (fractional):
Zn1 0.161 0.319 0.330
Zn2 0.328 0.409 0.672
Cu1 0.003 0.760 0.998
Cu2 0.171 0.828 0.330
Cu3 0.332 0.924 0.663
Cu4 0.500 0.000 0.000
Pd1 0.500 0.500 0.000

Simulated powder XRD pattern
Compound: RbTlCdF4
Radiation: Cu Kα (λ = 1.5418 Å)
Structure: a cell relaxed with PBE
Peak positions follow from Bragg's law for the DFT cell and can differ from measured ones.

Largest 10 diffraction maxima, low angle first, 15 to 90 degrees two-theta:
two_theta, d/Å, Rel. int.
20.76, 4.279, 16
27.57, 3.236, 100
28.08, 3.178, 65
37.88, 2.375, 12
38.27, 2.352, 14
38.62, 2.331, 15
40.12, 2.247, 35
48.43, 1.880, 21
49.37, 1.846, 41
56.91, 1.618, 18

Structural model:
Cell lengths 4.495, 4.495, 13.986 Å; angles 90.00, 90.00, 90.00 degrees
Space group I4mm (No. 107)
Symmetry-distinct sites (fractional):
Rb1 0.000 0.000 0.000
Tl1 0.000 0.000 0.295
Cd1 0.000 0.000 0.645
F1 0.000 0.000 0.482
F2 0.000 0.000 0.805
F3 0.000 0.500 0.142

Simulated powder XRD pattern
Compound: KTe3
Radiation: Cu Kα (λ = 1.5418 Å)
Structure: a cell relaxed with PBE
Peak positions follow from Bragg's law for the DFT cell and can differ from measured ones.

Largest 10 diffraction maxima, low angle first, 15 to 90 degrees two-theta:
two_theta, d/Å, Rel. int.
15.21, 5.826, 87
18.11, 4.899, 35
24.92, 3.574, 100
27.56, 3.236, 83
28.53, 3.128, 44
31.62, 2.829, 30
36.69, 2.449, 50
37.49, 2.399, 67
46.50, 1.953, 51
49.13, 1.854, 32

Structural model:
Cell lengths 6.473, 9.049, 5.826 Å; angles 90.00, 90.00, 90.00 degrees
Space group Pmmn (No. 59, origin choice 2)
Symmetry-distinct sites (fractional):
K1 0.250 0.250 0.044
Te1 0.250 0.009 0.514
Te2 0.250 0.750 0.254

Simulated powder XRD pattern
Compound: SiTcP2
Radiation: Cu Kα (λ = 1.5418 Å)
Structure: a cell relaxed with PBE
Peak positions follow from Bragg's law for the DFT cell and can differ from measured ones.

Largest 10 diffraction maxima, low angle first, 15 to 90 degrees two-theta:
two_theta, d/Å, Rel. int.
19.99, 4.443, 34
23.13, 3.845, 20
26.39, 3.377, 100
30.75, 2.908, 60
33.33, 2.689, 26
40.61, 2.221, 38
47.48, 1.915, 46
47.65, 1.909, 46
48.43, 1.879, 22
49.09, 1.856, 35

Structural model:
Cell lengths 3.759, 4.443, 4.272 Å; angles 90.00, 115.84, 90.00 degrees
Space group Pm (No. 6)
Symmetry-distinct sites (fractional):
Si1 0.000 0.000 0.000
Tc1 0.172 0.500 0.345
P1 0.319 0.000 0.634
P2 0.508 0.500 0.015

Simulated powder XRD pattern
Compound: Ca3Au5
Radiation: Cu Kα (λ = 1.5418 Å)
Structure: a cell relaxed with PBE
Peak positions follow from Bragg's law for the DFT cell and can differ from measured ones.

Largest 10 diffraction maxima, low angle first, 15 to 90 degrees two-theta:
two_theta, d/Å, Rel. int.
21.94, 4.051, 100
24.36, 3.654, 30
28.20, 3.165, 26
33.01, 2.713, 90
36.01, 2.494, 44
37.60, 2.392, 87
43.96, 2.060, 94
44.74, 2.026, 27
59.83, 1.546, 45
72.27, 1.307, 35

Structural model:
Cell lengths 7.3087, 7.3087, 4.0510 Å; angles 90.00, 90.00, 120.00 degrees
Space group P-62m (No. 189)
Symmetry-distinct sites (fractional):
Ca1 0.0000 0.3753 0.0000
Au1 0.0000 0.7679 0.5000
Au2 0.3333 0.6667 0.5000

Simulated powder XRD pattern
Compound: Sm3Sn3Pd2
Radiation: Cu Kα (λ = 1.5418 Å)
Structure: a cell relaxed with PBE
Peak positions follow from Bragg's law for the DFT cell and can differ from measured ones.

Largest 10 diffraction maxima, low angle first, 15 to 90 degrees two-theta:
two_theta, d/Å, Rel. int.
31.18, 2.869, 100
31.46, 2.843, 42
32.00, 2.797, 56
34.61, 2.591, 91
34.99, 2.565, 54
36.02, 2.493, 69
39.23, 2.297, 78
45.24, 2.004, 34
61.47, 1.508, 37
63.71, 1.461, 28

Structural model:
Cell lengths 8.500, 15.555, 6.034 Å; angles 90.00, 90.00, 90.00 degrees
Space group Pnma (No. 62)
Symmetry-distinct sites (fractional):
Sm1 0.032 0.110 0.126
Sm2 0.174 0.250 0.633
Sn1 0.184 0.750 0.624
Sn2 0.197 0.037 0.605
Pd1 0.089 0.610 0.376

Simulated powder XRD pattern
Compound: CaIn2Ag2
Radiation: Cu Kα (λ = 1.5418 Å)
Structure: a cell relaxed with PBE
Peak positions follow from Bragg's law for the DFT cell and can differ from measured ones.

Largest 10 diffraction maxima, low angle first, 15 to 90 degrees two-theta:
two_theta, d/Å, Rel. int.
18.10, 4.902, 91
20.89, 4.252, 37
30.01, 2.978, 61
33.35, 2.687, 100
33.64, 2.664, 38
38.14, 2.360, 62
38.78, 2.322, 78
40.57, 2.223, 52
43.32, 2.089, 30
64.52, 1.444, 24

Structural model:
Cell lengths 10.711, 4.720, 5.406 Å; angles 90.00, 113.76, 90.00 degrees
Space group C2/m (No. 12)
Symmetry-distinct sites (fractional):
Ca1 0.000 0.000 0.000
In1 0.146 0.500 0.556
Ag1 0.230 0.500 0.128

Simulated powder XRD pattern
Compound: CsSrTl2Br8
Radiation: Cu Kα (λ = 1.5418 Å)
Structure: a cell relaxed with PBE
Peak positions follow from Bragg's law for the DFT cell and can differ from measured ones.

Largest 10 diffraction maxima, low angle first, 15 to 90 degrees two-theta:
two_theta, d/Å, Rel. int.
16.11, 5.503, 100
21.62, 4.110, 56
24.03, 3.703, 60
25.45, 3.500, 88
28.62, 3.119, 31
29.06, 3.072, 46
29.32, 3.046, 31
38.06, 2.364, 32
41.63, 2.170, 82
42.27, 2.138, 71

Structural model:
Cell lengths 7.4064, 7.4064, 10.7088 Å; angles 90.00, 90.00, 120.00 degrees
Space group P-3 (No. 147)
Symmetry-distinct sites (fractional):
Cs1 0.0000 0.0000 0.0000
Sr1 0.0000 0.0000 0.5000
Tl1 0.3333 0.6667 0.7525
Br1 0.0262 0.6907 0.3198
Br2 0.3333 0.6667 0.0022